Entry 1:
# Mg2Zn2CdAg2
Computed X-ray powder pattern, Cu Kα X-rays. Input: a structure optimized by DFT (GGA-PBE).
Intensities are scaled so that the largest is 100.

Peak list (12 most intense, 15° ≤ 2θ ≤ 90°, by angle)
3.724 Å, intensity 33
3.625 Å, intensity 100
3.160 Å, intensity 11
2.257 Å, intensity 56
2.213 Å, intensity 56
1.930 Å, intensity 16
1.902 Å, intensity 29
1.889 Å, intensity 16
1.580 Å, intensity 17
1.437 Å, intensity 12
1.286 Å, intensity 17
1.278 Å, intensity 9

Structural model:
```
Mg2Zn2CdAg2
1.0
4.4255 0.0000 0.0000
-2.2128 3.8326 0.0000
0.0000 0.0000 11.1708
Mg Zn Cd Ag
2 2 1 2
direct
0.0000 0.0000 0.2372
0.0000 0.0000 0.7628
0.3333 0.6667 0.9143
0.6667 0.3333 0.0857
0.0000 0.0000 0.5000
0.3333 0.6667 0.1506
0.6667 0.3333 0.8494
```

Entry 2:
# MnCd2Ag2
Computed X-ray powder pattern, Cu Kα X-rays. Input: a structure optimized by DFT (GGA-PBE).
Intensities are scaled so that the largest is 100.

Peak list (12 most intense, 15° ≤ 2θ ≤ 90°, by angle)
5.435 Å, intensity 17
2.529 Å, intensity 10
2.431 Å, intensity 39
2.402 Å, intensity 100
1.922 Å, intensity 9
1.812 Å, intensity 9
1.800 Å, intensity 6
1.679 Å, intensity 9
1.630 Å, intensity 11
1.381 Å, intensity 12
1.314 Å, intensity 16
1.264 Å, intensity 5

Structural model:
```
MnCd2Ag2
1.0
7.6862 0.0000 0.0000
0.0000 7.6862 0.0000
0.0000 0.0000 3.3576
Mn Cd Ag
2 4 4
direct
0.0000 0.0000 0.0000
0.5000 0.5000 0.0000
0.1658 0.3342 0.5000
0.3342 0.8342 0.5000
0.6658 0.1658 0.5000
0.8342 0.6658 0.5000
0.1342 0.6342 0.0000
0.3658 0.1342 0.0000
0.6342 0.8658 0.0000
0.8658 0.3658 0.0000
```

Entry 3:
# Cd2AgNO
Computed X-ray powder pattern, Cu Kα X-rays. Input: a structure optimized by DFT (GGA-PBE).
Intensities are scaled so that the largest is 100.

Peak list (12 most intense, 15° ≤ 2θ ≤ 90°, by angle)
4.459 Å, intensity 22
4.203 Å, intensity 10
3.153 Å, intensity 6
3.059 Å, intensity 9
2.522 Å, intensity 100
2.229 Å, intensity 40
2.102 Å, intensity 17
1.576 Å, intensity 13
1.529 Å, intensity 23
1.337 Å, intensity 26
1.280 Å, intensity 11
1.261 Å, intensity 11

Structural model:
```
Cd2AgNO
1.0
4.4588 0.0000 0.0000
0.0000 4.4588 0.0000
0.0000 0.0000 4.2034
Cd Ag N O
2 1 1 1
direct
0.0000 0.5000 0.0000
0.5000 0.0000 0.0000
0.0000 0.0000 0.5000
0.0000 0.0000 0.0000
0.5000 0.5000 0.5000
```

Entry 4:
# NaCdAg4
Computed X-ray powder pattern, Cu Kα X-rays. Input: a structure optimized by DFT (GGA-PBE).
Intensities are scaled so that the largest is 100.

Peak list (12 most intense, 15° ≤ 2θ ≤ 90°, by angle)
4.579 Å, intensity 34
3.965 Å, intensity 7
2.804 Å, intensity 14
2.391 Å, intensity 100
2.289 Å, intensity 57
1.983 Å, intensity 12
1.819 Å, intensity 8
1.526 Å, intensity 31
1.402 Å, intensity 27
1.341 Å, intensity 6
1.209 Å, intensity 10
1.196 Å, intensity 20

Structural model:
```
NaCdAg4
1.0
0.0000 3.9653 3.9653
3.9653 0.0000 3.9653
3.9653 3.9653 0.0000
Na Cd Ag
1 1 4
direct
0.0000 0.0000 0.0000
0.7500 0.7500 0.7500
0.3752 0.3752 0.3752
0.3752 0.3752 0.8745
0.3752 0.8745 0.3752
0.8745 0.3752 0.3752
```